Record 1
Structure and simulated XRD peak list of Tm3Sn3Pd2Pt (a structure optimized by DFT (PBE); CuKα).
Kinematic intensities with the Lorentz-polarization factor, no thermal factor.

Atomic structure:
```
data_Tm3Sn3Pd2Pt
_chemical_formula_sum 'Tm3 Sn3 Pd2 Pt1'
_cell_length_a 7.4816
_cell_length_b 7.4816
_cell_length_c 3.9790
_cell_angle_alpha 90.00
_cell_angle_beta 90.00
_cell_angle_gamma 120.00
_symmetry_space_group_name_H-M 'P -6 2 m'
_symmetry_Int_Tables_number 189
_symmetry_space_group_name_Hall 'P -6 -2'
loop_
_atom_site_label
_atom_site_fract_x
_atom_site_fract_y
_atom_site_fract_z
Tm1 0.0000 0.4050 0.0000
Sn1 0.0000 0.7403 0.5000
Pd1 0.3333 0.6667 0.5000
Pt1 0.0000 0.0000 0.0000
```

Main lines, in order of rising 2θ (10 to 90 degrees two-theta):
32.86 deg, I 93, hkl 1 1 1; 35.74 deg, I 100, hkl 2 0 1; 36.70 deg, I 38, hkl 2 1 0; 41.83 deg, I 43, hkl 3 0 0; 43.39 deg, I 31, hkl 2 1 1; 67.23 deg, I 36, hkl 3 2 1

Record 2
Structure and simulated XRD peak list of PrGaBr7 (a structure optimized by DFT (PBE); CuKα).
Kinematic intensities with the Lorentz-polarization factor, no thermal factor.

Atomic structure:
```
data_PrGaBr7
_chemical_formula_sum 'Pr2 Ga2 Br14'
_cell_length_a 7.373
_cell_length_b 6.607
_cell_length_c 16.783
_cell_angle_alpha 90.00
_cell_angle_beta 105.78
_cell_angle_gamma 90.00
_symmetry_space_group_name_H-M 'P 1 c 1'
_symmetry_Int_Tables_number 7
_symmetry_space_group_name_Hall 'P -2yc'
loop_
_atom_site_label
_atom_site_fract_x
_atom_site_fract_y
_atom_site_fract_z
Pr1 0.000 0.070 0.000
Ga1 0.284 0.498 0.141
Br1 0.109 0.077 0.358
Br2 0.293 0.141 0.644
Br3 0.344 0.375 0.017
Br4 0.485 0.370 0.261
Br5 0.701 0.143 0.516
Br6 0.829 0.257 0.840
Br7 0.968 0.386 0.128
```

Main lines, in order of rising 2θ (10 to 90 degrees two-theta):
10.96 deg, I 65, hkl 0 0 2; 14.20 deg, I 100, hkl 1 0 -2; 17.34 deg, I 84, hkl 0 1 2; 18.35 deg, I 64, hkl 1 1 0; 26.97 deg, I 84, hkl 1 1 3; 27.74 deg, I 82, hkl 2 1 -1

Record 3
Structure and simulated XRD peak list of Pr2TcB5Os2 (a structure optimized by DFT (PBE); CuKα).
Kinematic intensities with the Lorentz-polarization factor, no thermal factor.

Atomic structure:
```
data_Pr2TcB5Os2
_chemical_formula_sum 'Pr4 Tc2 B10 Os4'
_cell_length_a 10.714
_cell_length_b 4.099
_cell_length_c 8.142
_cell_angle_alpha 90.00
_cell_angle_beta 125.35
_cell_angle_gamma 90.00
_symmetry_space_group_name_H-M 'C 1 2 1'
_symmetry_Int_Tables_number 5
_symmetry_space_group_name_Hall 'C 2y'
loop_
_atom_site_label
_atom_site_fract_x
_atom_site_fract_y
_atom_site_fract_z
Pr1 0.165 0.000 0.259
Tc1 0.000 0.222 0.500
B1 0.000 0.498 0.000
B2 0.026 0.729 0.620
B3 0.143 0.002 0.813
Os1 0.133 0.489 0.904
```

Main lines, in order of rising 2θ (10 to 90 degrees two-theta):
13.33 deg, I 31, hkl 0 0 1; 30.34 deg, I 100, hkl 1 1 1; 33.14 deg, I 48, hkl 2 0 -3; 33.57 deg, I 33, hkl 3 1 -1; 34.56 deg, I 66, hkl 3 1 -2; 35.03 deg, I 31, hkl 4 0 -1

Record 4
Structure and simulated XRD peak list of Nb7B8 (a structure optimized by DFT (PBE); CuKα).
Kinematic intensities with the Lorentz-polarization factor, no thermal factor.

Atomic structure:
```
data_Nb7B8
_chemical_formula_sum 'Nb14 B16'
_cell_length_a 3.181
_cell_length_b 3.292
_cell_length_c 33.270
_cell_angle_alpha 90.00
_cell_angle_beta 90.00
_cell_angle_gamma 90.00
_symmetry_space_group_name_H-M 'I m m m'
_symmetry_Int_Tables_number 71
_symmetry_space_group_name_Hall '-I 2 2'
loop_
_atom_site_label
_atom_site_fract_x
_atom_site_fract_y
_atom_site_fract_z
Nb1 0.000 0.000 0.000
Nb2 0.000 0.500 0.146
Nb3 0.000 0.500 0.284
Nb4 0.000 0.500 0.421
B1 0.000 0.000 0.473
B2 0.000 0.500 0.057
B3 0.000 0.500 0.214
B4 0.000 0.500 0.354
```

Main lines, in order of rising 2θ (10 to 90 degrees two-theta):
33.10 deg, I 53, hkl 0 1 7; 33.91 deg, I 100, hkl 1 0 7; 37.86 deg, I 41, hkl 0 0 14; 39.39 deg, I 46, hkl 1 1 0; 55.81 deg, I 44, hkl 0 2 0; 66.98 deg, I 27, hkl 1 2 7

Record 5
Structure and simulated XRD peak list of Tm3MgZn2PdPt2 (a structure optimized by DFT (PBE); CuKα).
Kinematic intensities with the Lorentz-polarization factor, no thermal factor.

Atomic structure:
```
data_Tm3MgZn2PdPt2
_chemical_formula_sum 'Tm6 Mg2 Zn4 Pd2 Pt4'
_cell_length_a 3.848
_cell_length_b 12.671
_cell_length_c 7.287
_cell_angle_alpha 90.00
_cell_angle_beta 90.00
_cell_angle_gamma 90.00
_symmetry_space_group_name_H-M 'A m m 2'
_symmetry_Int_Tables_number 38
_symmetry_space_group_name_Hall 'A 2 -2'
loop_
_atom_site_label
_atom_site_fract_x
_atom_site_fract_y
_atom_site_fract_z
Tm1 0.000 0.000 0.000
Tm2 0.000 0.214 0.590
Mg1 0.500 0.000 0.634
Zn1 0.500 0.129 0.269
Pd1 0.000 0.000 0.383
Pt1 0.500 0.163 0.886
```

Main lines, in order of rising 2θ (10 to 90 degrees two-theta):
14.00 deg, I 25, hkl 0 2 0; 24.38 deg, I 29, hkl 0 3 1; 33.85 deg, I 100, hkl 1 0 2; 36.78 deg, I 95, hkl 1 4 0; 37.61 deg, I 24, hkl 0 4 2; 42.95 deg, I 30, hkl 0 3 3

Record 6
Structure and simulated XRD peak list of Ag2Os2O5 (a structure optimized by DFT (PBE); CuKα).
Kinematic intensities with the Lorentz-polarization factor, no thermal factor.

Atomic structure:
```
data_Ag2Os2O5
_chemical_formula_sum 'Ag6 Os6 O15'
_cell_length_a 3.4027
_cell_length_b 3.4027
_cell_length_c 36.1592
_cell_angle_alpha 90.00
_cell_angle_beta 90.00
_cell_angle_gamma 120.00
_symmetry_space_group_name_H-M 'R 3 m'
_symmetry_Int_Tables_number 160
_symmetry_space_group_name_Hall 'R 3 -2"'
loop_
_atom_site_label
_atom_site_fract_x
_atom_site_fract_y
_atom_site_fract_z
Ag1 0.0000 0.0000 0.0000
Ag2 0.0000 0.0000 0.1732
Os1 0.0000 0.0000 0.4201
Os2 0.0000 0.0000 0.5881
O1 0.0000 0.0000 0.0870
O2 0.0000 0.0000 0.2353
O3 0.0000 0.0000 0.3677
O4 0.0000 0.0000 0.4724
O5 0.0000 0.0000 0.9370
```

Main lines, in order of rising 2θ (10 to 90 degrees two-theta):
29.65 deg, I 62, hkl 0 0 12; 30.74 deg, I 33, hkl 0 1 2; 32.82 deg, I 100, hkl 0 1 5; 35.06 deg, I 59, hkl 1 0 7; 53.89 deg, I 44, hkl 1 1 0; 62.71 deg, I 43, hkl 1 1 12